This entry pairs a crystal structure of Nd2AlFeO6 with its calculated PXRD pattern. Radiation: Cu Kα, 1.54184 Å. Structure: the GGA+U geometry in Alexandria.
No peak broadening, texture or thermal motion is included.

Main lines, in order of falling intensity (2θ from 15° to 90°):
2θ/deg  Rel. int.  hkl
33.16  100  1 1 1
23.28  31  0 0 2
40.91  24  2 0 -4
59.28  21  2 0 2
47.55  19  2 2 -2
59.18  17  3 1 -1

Atomic structure:
Cell: 5.4042 5.4141 9.3425 Å, 90.00 125.26 90.00°
Space group P2_1/c (No. 14)
Inequivalent atoms, fractional coordinates:
Nd 0.2418 0.0340 0.2500
Al 0.0000 0.0000 0.5000
Fe 0.5000 0.0000 0.0000
O 0.1782 0.2243 0.9608
O 0.2372 0.7183 0.9621
O 0.3179 0.0116 0.7463